Entry 1:
For U3Be2Ru5, DFT lattice parameters and positions (PBE) gives the simulated powder diffractogram in this record (Cu Kα, 1.54184 Å).

Largest 6 diffraction maxima, in order of rising 2θ, 10° ≤ 2θ ≤ 80°:
| 2theta | Rel. int. | index |
| --- | --- | --- |
| 20.5 | 24 | 2 1 0 |
| 33.7 | 69 | 2 1 1 |
| 37.5 | 27 | 2 2 1 |
| 38.3 | 47 | 4 1 0 |
| 39.8 | 100 | 3 1 1 |
| 41.7 | 31 | 4 2 0 |

Crystal structure
Cell lengths 9.6859, 9.6859, 3.3679 Å; angles 90.00, 90.00, 90.00 degrees
Space group P4/mbm (No. 127)
Unique sites:
U (0.0000, 0.0000, 0.0000) x2
U (0.1692, 0.3308, 0.0000) x4
Be (0.1242, 0.6242, 0.0000) x4
Ru (0.0000, 0.5000, 0.5000) x2
Ru (0.0767, 0.7893, 0.5000) x8

***

Entry 2:
For Rb2Gd4Cu4S9, DFT lattice parameters and positions (PBE) gives the simulated powder diffractogram in this record (Cu Kα, 1.54184 Å).

Largest 6 diffraction maxima, in order of rising 2θ, 10° ≤ 2θ ≤ 80°:
| 2theta | Rel. int. | index |
| --- | --- | --- |
| 13.4 | 100 | 2 0 0 |
| 25.6 | 90 | 4 0 -2 |
| 27.1 | 77 | 1 1 2 |
| 27.8 | 80 | 1 1 -3 |
| 32.1 | 79 | 3 1 1 |
| 45.9 | 79 | 3 1 -7 |

Crystal structure
Cell lengths 14.0093, 3.9962, 16.1581 Å; angles 90.00, 109.36, 90.00 degrees
Space group C2/m (No. 12)
Unique sites:
Rb (0.0266, 0.0000, 0.2705) x4
Gd (0.1542, 0.5000, 0.5535) x4
Gd (0.2319, 0.0000, 0.1035) x4
Cu (0.0685, 0.5000, 0.9599) x4
Cu (0.2489, 0.0000, 0.7280) x4
S (0.0000, 0.0000, 0.5000) x2
S (0.1076, 0.5000, 0.1234) x4
S (0.1376, 0.0000, 0.9256) x4
S (0.1596, 0.5000, 0.7228) x4
S (0.2030, 0.5000, 0.3986) x4